1.
This entry pairs a crystal structure of ThZr3 with its computed powder diffraction line list. Radiation: Cu Kα X-rays. Structure: a crystal structure in the Materials Project, relaxed with GGA-PBE.
No peak broadening, texture or thermal motion is included.

Top 12 peaks for 10° ≤ 2θ ≤ 90°, by intensity:
index, two_theta, intensity
1 0 2, 35.4, 1000
1 0 0, 31.2, 278
0 0 4, 33.2, 248
1 1 4, 66.2, 201
1 0 6, 60.8, 190
1 0 4, 46.2, 188
1 1 0, 55.5, 181
2 0 2, 67.6, 151
1 0 1, 32.3, 129
0 0 2, 16.4, 93
2 0 6, 86.9, 72
0 0 3, 24.8, 71

Structural model:
```
data_ThZr3
_chemical_formula_sum 'Th1 Zr3'
_space_group_name_H-M_alt 'P -6 m 2'
_space_group_IT_number 187
_space_group_name_Hall 'P -6 2'
_cell_length_a 3.3125
_cell_length_b 3.3125
_cell_length_c 10.7847
_cell_angle_alpha 90.00
_cell_angle_beta 90.00
_cell_angle_gamma 120.00
loop_
_atom_site_label
_atom_site_fract_x
_atom_site_fract_y
_atom_site_fract_z
Th1 0.0000 0.0000 0.0000
Zr1 0.0000 0.0000 0.5000
Zr2 0.6667 0.3333 0.2651
```


2.
This entry pairs a crystal structure of ThZr3 with its computed powder diffraction line list. Radiation: Cu Kα X-rays. Structure: a crystal structure in the Materials Project, relaxed with GGA-PBE.
No peak broadening, texture or thermal motion is included.

Top 12 peaks for 10° ≤ 2θ ≤ 90°, by intensity:
index, two_theta, intensity
2 0 1, 35.3, 1000
0 0 2, 33.2, 267
1 0 1, 22.6, 244
2 0 0, 31.1, 235
2 2 2, 66.0, 206
2 0 3, 60.7, 206
2 2 0, 55.2, 177
2 0 2, 46.1, 157
4 0 1, 67.3, 143
1 1 0, 26.8, 94
4 0 3, 86.6, 74
1 1 2, 43.2, 56

Structural model:
```
data_ThZr3
_chemical_formula_sum 'Th2 Zr6'
_space_group_name_H-M_alt 'P 63/m m c'
_space_group_IT_number 194
_space_group_name_Hall '-P 6c 2c'
_cell_length_a 6.6506
_cell_length_b 6.6506
_cell_length_c 5.3917
_cell_angle_alpha 90.00
_cell_angle_beta 90.00
_cell_angle_gamma 120.00
loop_
_atom_site_label
_atom_site_fract_x
_atom_site_fract_y
_atom_site_fract_z
Th1 0.3333 0.6667 0.2500
Zr1 0.1567 0.3135 0.7500
```


3.
This entry pairs a crystal structure of Ti with its computed powder diffraction line list. Radiation: Cu Kα X-rays. Structure: a crystal structure in the Materials Project, relaxed with GGA-PBE.
No peak broadening, texture or thermal motion is included.

Top 4 peaks for 10° ≤ 2θ ≤ 90°, by intensity:
index, two_theta, intensity
1 1 0, 39.2, 1000
2 1 1, 71.0, 290
2 0 0, 56.6, 153
2 2 0, 84.2, 88

Structural model:
```
data_Ti
_chemical_formula_sum 'Ti2'
_space_group_name_H-M_alt 'I m -3 m'
_space_group_IT_number 229
_space_group_name_Hall '-I 4 2 3'
_cell_length_a 3.2515
_cell_length_b 3.2515
_cell_length_c 3.2515
_cell_angle_alpha 90.00
_cell_angle_beta 90.00
_cell_angle_gamma 90.00
loop_
_atom_site_label
_atom_site_fract_x
_atom_site_fract_y
_atom_site_fract_z
Ti1 0.0000 0.0000 0.0000
```


4.
This entry pairs a crystal structure of Ti with its computed powder diffraction line list. Radiation: Cu Kα X-rays. Structure: a crystal structure in the Materials Project, relaxed with GGA-PBE.
No peak broadening, texture or thermal motion is included.

Top 11 peaks for 10° ≤ 2θ ≤ 90°, by intensity:
index, two_theta, intensity
1 0 1, 40.4, 1000
0 0 2, 38.7, 255
1 0 0, 35.3, 250
1 1 2, 76.8, 167
1 0 3, 71.2, 158
1 1 0, 63.4, 154
1 0 2, 53.4, 137
2 0 1, 78.0, 120
2 0 2, 87.5, 29
2 0 0, 74.7, 23
0 0 4, 82.9, 22

Structural model:
```
data_Ti
_chemical_formula_sum 'Ti2'
_space_group_name_H-M_alt 'P 63/m m c'
_space_group_IT_number 194
_space_group_name_Hall '-P 6c 2c'
_cell_length_a 2.9338
_cell_length_b 2.9338
_cell_length_c 4.6570
_cell_angle_alpha 90.00
_cell_angle_beta 90.00
_cell_angle_gamma 120.00
loop_
_atom_site_label
_atom_site_fract_x
_atom_site_fract_y
_atom_site_fract_z
Ti1 0.3333 0.6667 0.2500
```


5.
This entry pairs a crystal structure of Ti with its computed powder diffraction line list. Radiation: Cu Kα X-rays. Structure: a crystal structure in the Materials Project, relaxed with GGA-PBE.
No peak broadening, texture or thermal motion is included.

Top 12 peaks for 10° ≤ 2θ ≤ 90°, by intensity:
index, two_theta, intensity
0 1 6, 40.5, 1000
0 1 5, 39.0, 438
1 0 7, 42.2, 421
1 1 0, 63.6, 284
0 0 12, 38.5, 252
1 0 0, 35.4, 251
0 1 1, 35.5, 251
1 1 12, 76.8, 162
0 1 18, 70.9, 152
1 0 12, 53.3, 144
2 0 6, 78.1, 119
0 0 11, 35.1, 111

Structural model:
```
data_Ti
_chemical_formula_sum 'Ti6'
_space_group_name_H-M_alt 'P -3 m 1'
_space_group_IT_number 164
_space_group_name_Hall '-P 3 2"'
_cell_length_a 2.9281
_cell_length_b 2.9281
_cell_length_c 28.0873
_cell_angle_alpha 90.00
_cell_angle_beta 90.00
_cell_angle_gamma 120.00
loop_
_atom_site_label
_atom_site_fract_x
_atom_site_fract_y
_atom_site_fract_z
Ti1 0.3333 0.6667 0.1265
Ti2 0.3333 0.6667 0.7956
Ti3 0.3333 0.6667 0.9591
```


6.
This entry pairs a crystal structure of Ti with its computed powder diffraction line list. Radiation: Cu Kα X-rays. Structure: a crystal structure in the Materials Project, relaxed with GGA-PBE.
No peak broadening, texture or thermal motion is included.

Top 11 peaks for 10° ≤ 2θ ≤ 90°, by intensity:
index, two_theta, intensity
1 1 0, 39.4, 1000
1 0 1, 39.1, 906
2 0 1, 56.7, 274
2 1 1, 71.2, 259
1 1 2, 79.7, 207
3 0 0, 71.4, 145
1 1 1, 51.4, 95
2 2 0, 84.7, 88
0 0 1, 31.6, 70
0 0 2, 66.1, 62
3 0 1, 80.2, 23

Structural model:
```
data_Ti
_chemical_formula_sum 'Ti3'
_space_group_name_H-M_alt 'P 6/m m m'
_space_group_IT_number 191
_space_group_name_Hall '-P 6 2'
_cell_length_a 4.5769
_cell_length_b 4.5769
_cell_length_c 2.8287
_cell_angle_alpha 90.00
_cell_angle_beta 90.00
_cell_angle_gamma 120.00
loop_
_atom_site_label
_atom_site_fract_x
_atom_site_fract_y
_atom_site_fract_z
Ti1 0.0000 0.0000 0.0000
Ti2 0.3333 0.6667 0.5000
```


7.
This entry pairs a crystal structure of Ti with its computed powder diffraction line list. Radiation: Cu Kα X-rays. Structure: a crystal structure in the Materials Project, relaxed with GGA-PBE.
No peak broadening, texture or thermal motion is included.

Top 5 peaks for 10° ≤ 2θ ≤ 90°, by intensity:
index, two_theta, intensity
1 1 1, 37.9, 1000
2 0 0, 44.1, 471
3 1 1, 77.0, 307
2 2 0, 64.1, 275
2 2 2, 81.1, 88

Structural model:
```
data_Ti
_chemical_formula_sum 'Ti4'
_space_group_name_H-M_alt 'F m -3 m'
_space_group_IT_number 225
_space_group_name_Hall '-F 4 2 3'
_cell_length_a 4.1091
_cell_length_b 4.1091
_cell_length_c 4.1091
_cell_angle_alpha 90.00
_cell_angle_beta 90.00
_cell_angle_gamma 90.00
loop_
_atom_site_label
_atom_site_fract_x
_atom_site_fract_y
_atom_site_fract_z
Ti1 0.0000 0.0000 0.0000
```